For Pr3Ho, a PBE-relaxed structure gives the theoretical PXRD pattern in this record (Cu Kα X-rays).
Intensities are scaled so that the largest is 100.

```
4
Lattice="5.1831 0.0000 0.0000 0.0000 5.1831 0.0000 0.0000 0.0000 5.1831" Properties=species:S:1:pos:R:3 pbc="T T T"
Pr 0.0000 0.0000 2.5916
Pr 0.0000 2.5916 0.0000
Pr 2.5916 0.0000 0.0000
Ho 2.5916 2.5916 2.5916
```

The 8 most intense peaks (2θ = 10–90°), in order of rising 2θ:
2θ/deg  I (rel.)  h k l
29.86  100  1 1 1
34.61  51  2 0 0
49.76  36  2 2 0
59.12  43  3 1 1
62.03  12  2 2 2
73.02  6  4 0 0
80.83  18  3 3 1
83.39  16  4 2 0